[1]
This entry pairs a crystal structure of Y2AlZn with its theoretical XRD peak list. Radiation: Cu Kα (weighted mean of Kα1 and Kα2). Structure: a GGA-PBE-relaxed structure.
Lines closer than 0.1° are merged.

a = 5.083 Å, b = 15.246 Å, c = 7.187 Å
α = 90.00°, β = 90.00°, γ = 90.00°
Positions (direct):
Y 0.000 0.000 0.250
Y 0.000 0.000 0.750
Y 0.001 0.333 0.250
Y 0.001 0.333 0.750
Y 0.499 0.833 0.250
Y 0.499 0.833 0.750
Y 0.500 0.500 0.250
Y 0.500 0.500 0.750
Y 0.501 0.167 0.250
Y 0.501 0.167 0.750
Y 0.999 0.667 0.250
Y 0.999 0.667 0.750
Al 0.000 0.500 0.000
Al 0.001 0.167 0.000
Al 0.499 0.667 0.500
Al 0.500 0.000 0.500
Al 0.501 0.333 0.500
Al 0.999 0.833 0.000
Zn 0.000 0.500 0.500
Zn 0.002 0.833 0.500
Zn 0.498 0.333 0.000
Zn 0.500 0.000 0.000
Zn 0.502 0.667 0.000
Zn 0.998 0.167 0.500

Peak list (8 most intense, 2θ from 15° to 90°, by angle)
| 2θ (°) | I/Imax |
| --- | --- |
| 21.41 | 6 |
| 24.78 | 11 |
| 35.32 | 100 |
| 50.81 | 17 |
| 57.33 | 4 |
| 63.40 | 34 |
| 74.71 | 10 |
| 85.44 | 15 |

---

[2]
This entry pairs a crystal structure of Cs2TaCuF6 with its theoretical XRD peak list. Radiation: Cu Kα (weighted mean of Kα1 and Kα2). Structure: a GGA-PBE-relaxed structure.
Lines closer than 0.1° are merged.

a = 6.433 Å, b = 6.433 Å, c = 6.433 Å
α = 72.14°, β = 72.14°, γ = 72.14°
Positions (direct):
Cs 0.227 0.227 0.227
Cs 0.773 0.773 0.773
Ta 0.500 0.500 0.500
Cu 0.000 0.000 0.000
F 0.198 0.611 0.454
F 0.389 0.546 0.802
F 0.454 0.198 0.611
F 0.546 0.802 0.389
F 0.611 0.454 0.198
F 0.802 0.389 0.546

Peak list (8 most intense, 2θ from 15° to 90°, by angle)
| 2θ (°) | I/Imax |
| --- | --- |
| 23.49 | 100 |
| 28.66 | 50 |
| 30.26 | 21 |
| 37.38 | 25 |
| 41.29 | 22 |
| 44.62 | 38 |
| 56.91 | 15 |
| 65.17 | 15 |

---

[3]
This entry pairs a crystal structure of LaNiSnH2 with its theoretical XRD peak list. Radiation: Cu Kα (weighted mean of Kα1 and Kα2). Structure: a GGA-PBE-relaxed structure.
Lines closer than 0.1° are merged.

a = 4.415 Å, b = 4.415 Å, c = 8.650 Å
α = 90.00°, β = 90.00°, γ = 120.00°
Positions (direct):
La 0.000 0.000 0.000
La 0.000 0.000 0.500
Ni 0.333 0.667 0.250
Ni 0.667 0.333 0.750
Sn 0.333 0.667 0.750
Sn 0.667 0.333 0.250
H 0.333 0.667 0.064
H 0.333 0.667 0.436
H 0.667 0.333 0.564
H 0.667 0.333 0.936

Peak list (8 most intense, 2θ from 15° to 90°, by angle)
| 2θ (°) | I/Imax |
| --- | --- |
| 31.22 | 100 |
| 40.88 | 49 |
| 41.77 | 15 |
| 52.32 | 23 |
| 59.87 | 31 |
| 68.45 | 21 |
| 69.71 | 10 |
| 89.20 | 11 |

---

[4]
This entry pairs a crystal structure of Zn2In4Ni with its theoretical XRD peak list. Radiation: Cu Kα (weighted mean of Kα1 and Kα2). Structure: a GGA-PBE-relaxed structure.
Lines closer than 0.1° are merged.

a = 4.263 Å, b = 4.263 Å, c = 11.705 Å
α = 90.00°, β = 90.00°, γ = 120.00°
Positions (direct):
Zn 0.000 0.000 0.000
Zn 0.333 0.667 0.338
In 0.000 0.000 0.230
In 0.000 0.000 0.699
In 0.667 0.333 0.452
In 0.667 0.333 0.886
Ni 0.667 0.333 0.667

Peak list (8 most intense, 2θ from 15° to 90°, by angle)
| 2θ (°) | I/Imax |
| --- | --- |
| 24.11 | 53 |
| 25.30 | 52 |
| 28.59 | 97 |
| 33.41 | 28 |
| 39.29 | 76 |
| 42.41 | 100 |
| 45.90 | 30 |
| 53.14 | 31 |

---

[5]
This entry pairs a crystal structure of SmGdTlCu2 with its theoretical XRD peak list. Radiation: Cu Kα (weighted mean of Kα1 and Kα2). Structure: a GGA-PBE-relaxed structure.
Lines closer than 0.1° are merged.

a = 3.650 Å, b = 7.407 Å, c = 7.407 Å
α = 33.75°, β = 90.00°, γ = 90.00°
Positions (direct):
Sm 0.000 0.000 0.000
Gd 0.000 0.731 0.731
Tl 0.500 0.365 0.365
Cu 0.500 0.163 0.163
Cu 0.500 0.570 0.570

Peak list (8 most intense, 2θ from 15° to 90°, by angle)
| 2θ (°) | I/Imax |
| --- | --- |
| 28.06 | 44 |
| 32.80 | 100 |
| 35.30 | 63 |
| 38.03 | 49 |
| 42.02 | 27 |
| 49.98 | 16 |
| 56.01 | 34 |
| 64.48 | 21 |

---

[6]
This entry pairs a crystal structure of CuBiCl6 with its theoretical XRD peak list. Radiation: Cu Kα (weighted mean of Kα1 and Kα2). Structure: a GGA-PBE-relaxed structure.
Lines closer than 0.1° are merged.

a = 5.350 Å, b = 5.881 Å, c = 7.614 Å
α = 112.30°, β = 94.28°, γ = 107.33°
Positions (direct):
Cu 0.000 0.000 0.000
Bi 0.032 0.991 0.501
Cl 0.149 0.325 0.321
Cl 0.185 0.312 0.888
Cl 0.531 0.995 0.478
Cl 0.555 0.021 0.986
Cl 0.864 0.681 0.107
Cl 0.908 0.667 0.684

Peak list (8 most intense, 2θ from 15° to 90°, by angle)
| 2θ (°) | I/Imax |
| --- | --- |
| 17.42 | 97 |
| 17.77 | 100 |
| 20.04 | 59 |
| 24.35 | 34 |
| 25.88 | 47 |
| 33.83 | 49 |
| 33.97 | 53 |
| 37.20 | 41 |

---

[7]
This entry pairs a crystal structure of Ta3InSi5 with its theoretical XRD peak list. Radiation: Cu Kα (weighted mean of Kα1 and Kα2). Structure: a GGA-PBE-relaxed structure.
Lines closer than 0.1° are merged.

a = 5.627 Å, b = 5.627 Å, c = 6.435 Å
α = 90.00°, β = 90.00°, γ = 120.00°
Positions (direct):
Ta 0.000 0.500 0.000
Ta 0.500 0.000 0.000
Ta 0.500 0.500 0.000
In 0.000 0.000 0.500
Si 0.000 0.000 0.000
Si 0.333 0.667 0.319
Si 0.333 0.667 0.681
Si 0.667 0.333 0.319
Si 0.667 0.333 0.681

Peak list (8 most intense, 2θ from 15° to 90°, by angle)
| 2θ (°) | I/Imax |
| --- | --- |
| 22.89 | 74 |
| 27.73 | 49 |
| 34.80 | 44 |
| 36.89 | 74 |
| 39.55 | 70 |
| 46.77 | 100 |
| 57.24 | 25 |
| 70.09 | 28 |

---

[8]
This entry pairs a crystal structure of BeCoSiIr with its theoretical XRD peak list. Radiation: Cu Kα (weighted mean of Kα1 and Kα2). Structure: a GGA-PBE-relaxed structure.
Lines closer than 0.1° are merged.

a = 3.956 Å, b = 3.956 Å, c = 5.591 Å
α = 90.00°, β = 90.00°, γ = 90.00°
Positions (direct):
Be 0.000 0.500 0.249
Be 0.500 0.000 0.751
Co 0.000 0.000 0.500
Co 0.500 0.500 0.000
Si 0.000 0.500 0.749
Si 0.500 0.000 0.251
Ir 0.000 0.000 0.000
Ir 0.500 0.500 0.500

Peak list (8 most intense, 2θ from 15° to 90°, by angle)
| 2θ (°) | I/Imax |
| --- | --- |
| 27.62 | 53 |
| 32.00 | 78 |
| 45.89 | 100 |
| 54.41 | 26 |
| 57.04 | 20 |
| 66.92 | 16 |
| 76.11 | 26 |
| 84.95 | 34 |

---

[9]
This entry pairs a crystal structure of ZrSc3Te2C2 with its theoretical XRD peak list. Radiation: Cu Kα (weighted mean of Kα1 and Kα2). Structure: a GGA-PBE-relaxed structure.
Lines closer than 0.1° are merged.

a = 3.560 Å, b = 3.560 Å, c = 13.320 Å
α = 90.00°, β = 90.00°, γ = 120.00°
Positions (direct):
Zr 0.000 0.000 0.000
Sc 0.000 0.000 0.676
Sc 0.667 0.333 0.180
Sc 0.667 0.333 0.500
Te 0.000 0.000 0.339
Te 0.667 0.333 0.840
C 0.333 0.667 0.088
C 0.333 0.667 0.589

Peak list (8 most intense, 2θ from 15° to 90°, by angle)
| 2θ (°) | I/Imax |
| --- | --- |
| 28.96 | 25 |
| 35.45 | 100 |
| 50.67 | 14 |
| 51.33 | 24 |
| 63.93 | 17 |
| 67.44 | 17 |
| 70.59 | 14 |
| 86.31 | 16 |

---

[10]
This entry pairs a crystal structure of TeMoSe3I with its theoretical XRD peak list. Radiation: Cu Kα (weighted mean of Kα1 and Kα2). Structure: a GGA-PBE-relaxed structure.
Lines closer than 0.1° are merged.

a = 6.575 Å, b = 8.111 Å, c = 8.389 Å
α = 115.24°, β = 104.29°, γ = 98.63°
Positions (direct):
Te 0.124 0.149 0.306
Te 0.876 0.851 0.694
Mo 0.282 0.000 0.000
Mo 0.718 0.000 0.000
Se 0.019 0.204 0.940
Se 0.394 0.697 0.842
Se 0.462 0.116 0.813
Se 0.538 0.884 0.187
Se 0.606 0.303 0.158
Se 0.981 0.796 0.060
I 0.245 0.604 0.424
I 0.755 0.396 0.576

Peak list (8 most intense, 2θ from 15° to 90°, by angle)
| 2θ (°) | I/Imax |
| --- | --- |
| 27.54 | 100 |
| 28.30 | 96 |
| 29.06 | 50 |
| 31.42 | 63 |
| 32.62 | 72 |
| 32.95 | 58 |
| 41.24 | 68 |
| 44.16 | 42 |

---

[11]
This entry pairs a crystal structure of TmAsPdO with its theoretical XRD peak list. Radiation: Cu Kα (weighted mean of Kα1 and Kα2). Structure: a GGA-PBE-relaxed structure.
Lines closer than 0.1° are merged.

a = 4.055 Å, b = 4.055 Å, c = 7.948 Å
α = 90.00°, β = 90.00°, γ = 90.00°
Positions (direct):
Tm 0.250 0.250 0.125
Tm 0.750 0.750 0.875
As 0.250 0.250 0.683
As 0.750 0.750 0.317
Pd 0.250 0.750 0.500
Pd 0.750 0.250 0.500
O 0.250 0.750 0.000
O 0.750 0.250 0.000

Peak list (8 most intense, 2θ from 15° to 90°, by angle)
| 2θ (°) | I/Imax |
| --- | --- |
| 31.52 | 100 |
| 33.21 | 54 |
| 38.72 | 35 |
| 40.68 | 20 |
| 44.69 | 51 |
| 55.71 | 40 |
| 56.33 | 34 |
| 65.05 | 16 |

---

[12]
This entry pairs a crystal structure of Bi2AuO4 with its theoretical XRD peak list. Radiation: Cu Kα (weighted mean of Kα1 and Kα2). Structure: a GGA-PBE-relaxed structure.
Lines closer than 0.1° are merged.

a = 8.718 Å, b = 8.718 Å, c = 6.054 Å
α = 90.00°, β = 90.00°, γ = 90.00°
Positions (direct):
Bi 0.079 0.579 0.250
Bi 0.079 0.921 0.750
Bi 0.421 0.579 0.750
Bi 0.421 0.921 0.250
Bi 0.579 0.079 0.750
Bi 0.579 0.421 0.250
Bi 0.921 0.079 0.250
Bi 0.921 0.421 0.750
Au 0.250 0.250 0.071
Au 0.250 0.250 0.571
Au 0.750 0.750 0.429
Au 0.750 0.750 0.929
O 0.028 0.146 0.597
O 0.028 0.354 0.097
O 0.146 0.028 0.097
O 0.146 0.472 0.597
O 0.354 0.028 0.597
O 0.354 0.472 0.097
O 0.472 0.146 0.097
O 0.472 0.354 0.597
O 0.528 0.646 0.403
O 0.528 0.854 0.903
O 0.646 0.528 0.903
O 0.646 0.972 0.403
O 0.854 0.528 0.403
O 0.854 0.972 0.903
O 0.972 0.646 0.903
O 0.972 0.854 0.403

Peak list (8 most intense, 2θ from 15° to 90°, by angle)
| 2θ (°) | I/Imax |
| --- | --- |
| 27.20 | 100 |
| 28.97 | 24 |
| 32.48 | 55 |
| 32.96 | 18 |
| 36.13 | 34 |
| 45.44 | 37 |
| 50.95 | 24 |
| 53.93 | 27 |